No. 1
Diffraction record for NaTi2P3O12. The powder XRD pattern is simulated, not measured: it uses a PBE-relaxed structure and CuKα.
Lines closer than 0.1° are merged.

Crystal structure
```
NaTi2P3O12
1.0
8.6504 0.0000 0.0000
4.3250 7.5379 0.0000
0.0016 4.9679 7.3777
Na Ti P O
2 4 6 24
direct
0.1190 0.4993 0.2508
0.8810 0.5007 0.7492
0.1459 0.7170 0.4320
0.3627 0.2831 0.0680
0.6373 0.7169 0.9320
0.8541 0.2830 0.5680
0.0263 0.2222 0.2403
0.2514 0.2222 0.7406
0.4638 0.4998 0.2501
0.5362 0.5002 0.7499
0.7486 0.7778 0.2594
0.9737 0.7778 0.7597
0.0132 0.7392 0.6070
0.0580 0.0091 0.2939
0.0783 0.2154 0.7154
0.1377 0.5944 0.9379
0.2066 0.2149 0.2158
0.2327 0.4054 0.5626
0.2520 0.2607 0.8933
0.2822 0.6534 0.2684
0.3667 0.6349 0.5805
0.4328 0.0089 0.7943
0.4357 0.3464 0.2317
0.4991 0.6342 0.0810
0.5009 0.3658 0.9190
0.5643 0.6536 0.7683
0.5672 0.9911 0.2057
0.6333 0.3651 0.4195
0.7178 0.3466 0.7316
0.7480 0.7393 0.1067
0.7673 0.5946 0.4374
0.7934 0.7851 0.7842
0.8623 0.4056 0.0621
0.9217 0.7846 0.2846
0.9420 0.9909 0.7061
0.9868 0.2608 0.3930
```

Largest 10 diffraction maxima, by angle, 2θ = 15–90°:
index, 2θ (°), Rel. int.
1 1 -1, 19.92, 94
2 1 0, 20.49, 24
1 -1 0, 23.69, 46
-1 1 2, 23.84, 100
0 0 2, 24.12, 24
0 2 0, 28.55, 21
2 2 2, 28.80, 51
1 -1 1, 31.72, 48
1 2 3, 31.90, 63
3 3 1, 35.91, 15

***

No. 2
Diffraction record for HoP3Rh6. The powder XRD pattern is simulated, not measured: it uses a PBE-relaxed structure and CuKα.
Lines closer than 0.1° are merged.

Crystal structure
```
HoP3Rh6
1.0
5.6142 0.0000 0.0000
-0.1911 5.7077 0.0000
-2.7811 -1.4336 4.8168
Ho P Rh
1 3 6
direct
0.0000 0.0000 0.0000
0.3124 0.8555 0.6090
0.6265 0.8589 0.2756
0.9041 0.4818 0.8185
0.0238 0.1491 0.5604
0.3087 0.5583 0.2459
0.5168 0.1575 0.5325
0.5186 0.5963 0.8623
0.5340 0.1463 0.0374
0.9172 0.5946 0.4536
```

Largest 10 diffraction maxima, by angle, 2θ = 15–90°:
index, 2θ (°), Rel. int.
1 0 -2, 32.04, 52
0 2 0, 32.74, 100
0 1 -2, 36.21, 67
2 1 -1, 36.48, 35
2 0 -2, 37.01, 66
2 0 0, 37.16, 55
1 -2 1, 39.65, 36
1 1 1, 40.05, 35
-2 1 2, 42.38, 52
2 -2 0, 45.56, 61

***

No. 3
Diffraction record for Cu3SiAu3. The powder XRD pattern is simulated, not measured: it uses a PBE-relaxed structure and CuKα.
Lines closer than 0.1° are merged.

Crystal structure
```
Cu3SiAu3
1.0
11.4388 0.0000 0.0000
0.0000 2.8783 0.0000
0.0000 0.0000 13.1898
Cu Si Au
12 4 12
direct
0.0685 0.2500 0.1811
0.0818 0.7500 0.5480
0.2079 0.7500 0.7076
0.2921 0.2500 0.2076
0.4182 0.2500 0.0480
0.4315 0.7500 0.6811
0.5685 0.2500 0.3189
0.5818 0.7500 0.9520
0.7079 0.7500 0.7924
0.7921 0.2500 0.2924
0.9182 0.2500 0.4520
0.9315 0.7500 0.8189
0.0289 0.2500 0.6920
0.4711 0.7500 0.1920
0.5289 0.2500 0.8080
0.9711 0.7500 0.3080
0.1228 0.2500 0.8741
0.1492 0.2500 0.3772
0.1978 0.7500 0.0535
0.3022 0.2500 0.5535
0.3508 0.7500 0.8772
0.3772 0.7500 0.3741
0.6228 0.2500 0.6259
0.6492 0.2500 0.1228
0.6978 0.7500 0.4465
0.8022 0.2500 0.9465
0.8508 0.7500 0.6228
0.8772 0.7500 0.1259
```

Largest 10 diffraction maxima, by angle, 2θ = 15–90°:
index, 2θ (°), Rel. int.
2 0 0, 15.50, 39
0 0 4, 27.03, 41
1 1 2, 34.90, 52
4 0 3, 37.53, 36
3 1 1, 39.83, 19
3 1 2, 41.63, 71
1 0 6, 41.82, 100
2 1 4, 44.68, 72
2 1 8, 67.47, 31
1 2 6, 80.14, 30

***

No. 4
Diffraction record for Pr8Tm5Th. The powder XRD pattern is simulated, not measured: it uses a PBE-relaxed structure and CuKα.
Lines closer than 0.1° are merged.

Crystal structure
```
Pr8Tm5Th
1.0
8.5551 0.0000 0.0000
-1.0914 8.6345 0.0000
-4.0101 -4.0150 6.6126
Pr Tm Th
8 5 1
direct
0.0000 0.0000 0.0000
0.0247 0.8164 0.4347
0.1671 0.4922 0.1404
0.2315 0.2980 0.5347
0.3512 0.1402 0.8926
0.4837 0.7530 0.6565
0.6105 0.3836 0.4294
0.6595 0.9667 0.1514
0.1359 0.6489 0.8013
0.4004 0.9552 0.3625
0.7555 0.5505 0.9041
0.8422 0.3571 0.2004
0.8936 0.1812 0.6614
0.5470 0.6034 0.1617
```

Largest 10 diffraction maxima, by angle, 2θ = 15–90°:
index, 2θ (°), Rel. int.
-1 2 1, 29.02, 17
-2 1 2, 29.28, 23
1 -1 2, 31.14, 48
2 2 -2, 31.36, 42
1 -3 1, 31.59, 67
-3 1 1, 32.09, 100
0 2 1, 33.39, 32
2 0 -3, 33.77, 27
-3 3 2, 49.03, 15
4 -2 1, 54.86, 14

***

Which formula does entry 1 have? NaTi2P3O12

***

Please write out number 2 again, unchanged.
Diffraction record for HoP3Rh6. The powder XRD pattern is simulated, not measured: it uses a PBE-relaxed structure and CuKα.
Lines closer than 0.1° are merged.

Crystal structure
```
HoP3Rh6
1.0
5.6142 0.0000 0.0000
-0.1911 5.7077 0.0000
-2.7811 -1.4336 4.8168
Ho P Rh
1 3 6
direct
0.0000 0.0000 0.0000
0.3124 0.8555 0.6090
0.6265 0.8589 0.2756
0.9041 0.4818 0.8185
0.0238 0.1491 0.5604
0.3087 0.5583 0.2459
0.5168 0.1575 0.5325
0.5186 0.5963 0.8623
0.5340 0.1463 0.0374
0.9172 0.5946 0.4536
```

Largest 10 diffraction maxima, by angle, 2θ = 15–90°:
index, 2θ (°), Rel. int.
1 0 -2, 32.04, 52
0 2 0, 32.74, 100
0 1 -2, 36.21, 67
2 1 -1, 36.48, 35
2 0 -2, 37.01, 66
2 0 0, 37.16, 55
1 -2 1, 39.65, 36
1 1 1, 40.05, 35
-2 1 2, 42.38, 52
2 -2 0, 45.56, 61